Entry 1:
Starting from a crystal structure in Alexandria, relaxed with GGA-PBE, the X-ray powder pattern of TcF4 was computed for Cu Kα X-rays.
Kinematic intensities with the Lorentz-polarization factor, no thermal factor.

Cell and atoms:
```
data_TcF4
_chemical_formula_sum 'Tc8 F32'
_space_group_name_H-M_alt 'P b c a'
_space_group_IT_number 61
_cell_length_a 5.485
_cell_length_b 9.997
_cell_length_c 11.733
_cell_angle_alpha 90.00
_cell_angle_beta 90.00
_cell_angle_gamma 90.00
loop_
_space_group_symop_operation_xyz
'x,y,z'
'-x,-y,-z'
'-x+1/2,-y,z+1/2'
'x+1/2,y,-z+1/2'
'x+1/2,-y+1/2,-z'
'-x+1/2,y+1/2,z'
'-x,y+1/2,-z+1/2'
'x,-y+1/2,z+1/2'
loop_
_atom_site_label
_atom_site_type_symbol
_atom_site_fract_x
_atom_site_fract_y
_atom_site_fract_z
Tc1 Tc 0.095 0.129 0.176
F1 F 0.051 0.743 0.429
F2 F 0.092 0.734 0.194
F3 F 0.216 0.523 0.305
F4 F 0.239 0.014 0.071
```

Most intense lines, 2θ from 15° to 90°, in order of falling intensity:
| (hkl) | 2theta | I (rel.) |
| --- | --- | --- |
| 0 2 1 | 19.3 | 1000 |
| 0 0 2 | 15.1 | 371 |
| 1 1 2 | 23.9 | 319 |
| 0 4 2 | 39.2 | 233 |
| 1 1 3 | 29.4 | 226 |
| 1 0 2 | 22.2 | 178 |
| 3 2 3 | 58.7 | 158 |
| 1 3 4 | 44.3 | 156 |

---

Entry 2:
Starting from a crystal structure in Alexandria, relaxed with GGA-PBE, the X-ray powder pattern of TiTc3F was computed for Cu Kα X-rays.
Kinematic intensities with the Lorentz-polarization factor, no thermal factor.

Cell and atoms:
```
data_TiTc3F
_chemical_formula_sum 'Ti1 Tc3 F1'
_space_group_name_H-M_alt 'P m -3 m'
_space_group_IT_number 221
_space_group_name_Hall '-P 4 2 3'
_cell_length_a 4.156
_cell_length_b 4.156
_cell_length_c 4.156
_cell_angle_alpha 90.00
_cell_angle_beta 90.00
_cell_angle_gamma 90.00
loop_
_atom_site_label
_atom_site_type_symbol
_atom_site_fract_x
_atom_site_fract_y
_atom_site_fract_z
Ti1 Ti 0.000 0.000 0.000
Tc1 Tc 0.000 0.500 0.500
F1 F 0.500 0.500 0.500
```

Most intense lines, 2θ from 15° to 90°, in order of falling intensity:
| (hkl) | 2theta | I (rel.) |
| --- | --- | --- |
| 1 1 1 | 37.5 | 1000 |
| 2 0 0 | 43.6 | 605 |
| 2 2 0 | 63.3 | 377 |
| 3 1 1 | 75.9 | 363 |
| 1 0 0 | 21.4 | 160 |
| 2 2 2 | 80.0 | 125 |
| 2 1 0 | 49.0 | 67 |
| 3 0 0 | 67.6 | 31 |

---

Entry 3:
Starting from a crystal structure in Alexandria, relaxed with GGA-PBE, the X-ray powder pattern of Tl3TcF7 was computed for Cu Kα X-rays.
Kinematic intensities with the Lorentz-polarization factor, no thermal factor.

Cell and atoms:
```
data_Tl3TcF7
_chemical_formula_sum 'Tl6 Tc2 F14'
_space_group_name_H-M_alt 'C 1 m 1'
_space_group_IT_number 8
_cell_length_a 9.009
_cell_length_b 8.444
_cell_length_c 7.177
_cell_angle_alpha 90.00
_cell_angle_beta 121.58
_cell_angle_gamma 90.00
loop_
_space_group_symop_operation_xyz
'x,y,z'
'x,-y,z'
'x+1/2,y+1/2,z'
'x+1/2,-y+1/2,z'
loop_
_atom_site_label
_atom_site_type_symbol
_atom_site_fract_x
_atom_site_fract_y
_atom_site_fract_z
Tl1 Tl 0.000 0.000 0.000
Tl2 Tl 0.490 0.245 0.492
Tc1 Tc 0.489 0.000 0.970
F1 F 0.134 0.331 0.175
F2 F 0.134 0.500 0.837
F3 F 0.344 0.000 0.100
F4 F 0.346 0.168 0.758
F5 F 0.462 0.500 0.643
```

Most intense lines, 2θ from 15° to 90°, in order of falling intensity:
| (hkl) | 2theta | I (rel.) |
| --- | --- | --- |
| 0 2 1 | 25.6 | 1000 |
| 2 0 0 | 23.2 | 613 |
| 2 2 -1 | 29.1 | 566 |
| 2 0 -2 | 26.1 | 476 |
| 2 2 1 | 39.8 | 349 |
| 4 2 -1 | 46.8 | 310 |
| 0 0 2 | 29.2 | 279 |
| 2 2 -3 | 43.5 | 256 |